Starting from DFT lattice parameters and positions (PBE), the PXRD pattern of TbPm2Y2Sc was computed for λ = 1.5418 Å (Cu Kα).
Lines closer than 0.1° are merged.

Crystal structure
```
TbPm2Y2Sc
1.0
7.034 0.000 0.000
0.000 5.585 0.000
0.000 0.000 9.654
Tb Pm Y Sc
2 4 4 2
Cartesian
0.000 0.000 0.000 Tb
3.517 0.000 0.000 Tb
1.758 0.000 3.079 Pm
1.758 2.792 8.190 Pm
5.275 0.000 6.574 Pm
5.275 2.792 1.464 Pm
0.000 2.792 4.827 Y
1.758 0.000 6.359 Y
3.517 2.792 4.827 Y
5.275 0.000 3.295 Y
1.758 2.792 1.716 Sc
5.275 2.792 7.937 Sc
```

Peak list (8 most intense, 2θ = 10–90°, most intense first)
two_theta, I_rel
31.5, 100
32.1, 100
56.8, 35
45.6, 35
62.4, 29
22.3, 20
57.2, 18
80.9, 13